Computed powder diffraction line list
Compound: AlGaCoO4
Radiation: Cu Kα (λ = 1.5418 Å)
Structure: a cell relaxed with GGA+U

Main lines, in order of rising 2θ (2θ from 10° to 90°):
(hkl)  2θ/deg  Rel. int.
1 0 0  15.2  5
1 1 1  24.1  10
1 1 2  30.7  38
1 0 3  36.2  100
2 2 0  43.9  11
0 0 4  44.1  5
3 1 2  54.5  8
3 2 1  58.1  28
1 0 5  58.3  11
4 0 0  63.8  15
2 2 4  64.0  31
4 1 3  75.6  7

Crystal structure
```
AlGaCoO4
1.0
5.833 0.000 0.000
0.000 5.833 0.000
0.000 0.000 8.220
Al Ga Co O
4 4 4 16
Direct
0.000 0.244 0.000
0.000 0.756 0.500
0.244 0.000 0.750
0.756 0.000 0.250
0.244 0.500 0.750
0.500 0.244 0.000
0.500 0.756 0.500
0.756 0.500 0.250
0.250 0.250 0.375
0.250 0.750 0.125
0.750 0.250 0.625
0.750 0.750 0.875
0.021 0.241 0.767
0.021 0.759 0.733
0.241 0.021 0.983
0.241 0.469 0.992
0.241 0.531 0.508
0.241 0.979 0.517
0.469 0.241 0.758
0.469 0.759 0.742
0.531 0.241 0.242
0.531 0.759 0.258
0.759 0.021 0.017
0.759 0.469 0.008
0.759 0.531 0.492
0.759 0.979 0.483
0.979 0.241 0.233
0.979 0.759 0.267
```